No. 1
This entry pairs a crystal structure of CaNiO2 with its computed powder diffractogram. Radiation: Cu Kα, 1.54184 Å. Structure: a PBE+U-relaxed structure.
Lines closer than 0.1° are merged.

Top 10 peaks for 2θ = 10–80°, in order of rising 2θ:
21.45°, rel. 13
25.42°, rel. 24
32.97°, rel. 100
33.33°, rel. 29
33.83°, rel. 20
40.53°, rel. 46
41.76°, rel. 36
52.83°, rel. 11
55.09°, rel. 14
59.32°, rel. 12

Atomic structure:
a b c (Å): 3.1179 8.1041 8.3550
angles (deg): 82.61 89.23 88.31
Fractional coordinates of all 16 atoms:
1 Ca 0.2290 0.0710 0.3216
2 Ca 0.2403 0.7882 0.0502
3 Ca 0.7597 0.2118 0.9498
4 Ca 0.7710 0.9290 0.6784
5 Ni 0.2183 0.2619 0.6140
6 Ni 0.3361 0.5674 0.7799
7 Ni 0.6639 0.4326 0.2201
8 Ni 0.7817 0.7381 0.3860
9 O 0.1057 0.5801 0.2660
10 O 0.2371 0.2994 0.1296
11 O 0.2641 0.0736 0.8121
12 O 0.2803 0.8187 0.5103
13 O 0.7197 0.1813 0.4897
14 O 0.7359 0.9264 0.1879
15 O 0.7629 0.7006 0.8704
16 O 0.8943 0.4199 0.7340

***

No. 2
This entry pairs a crystal structure of CaNi2O4 with its computed powder diffractogram. Radiation: Cu Kα, 1.54184 Å. Structure: a PBE+U-relaxed structure.
Lines closer than 0.1° are merged.

Top 10 peaks for 2θ = 10–80°, in order of rising 2θ:
18.57°, rel. 25
31.33°, rel. 31
33.49°, rel. 100
35.40°, rel. 31
39.70°, rel. 42
40.86°, rel. 48
44.17°, rel. 47
57.19°, rel. 26
62.83°, rel. 32
63.68°, rel. 27

Atomic structure:
a b c (Å): 3.1393 9.8609 9.5576
angles (deg): 90.00 90.00 90.00
Fractional coordinates of all 28 atoms:
1 Ca 0.1944 0.1492 0.2500
2 Ca 0.1944 0.3508 0.7500
3 Ca 0.8056 0.6492 0.2500
4 Ca 0.8056 0.8508 0.7500
5 Ni 0.2758 0.6085 0.5695
6 Ni 0.2758 0.6085 0.9305
7 Ni 0.2758 0.8915 0.0695
8 Ni 0.2758 0.8915 0.4305
9 Ni 0.7242 0.1085 0.5695
10 Ni 0.7242 0.1085 0.9305
11 Ni 0.7242 0.3915 0.0695
12 Ni 0.7242 0.3915 0.4305
13 O 0.1017 0.2500 0.0000
14 O 0.1017 0.2500 0.5000
15 O 0.2848 0.5217 0.1070
16 O 0.2848 0.5217 0.3930
17 O 0.2848 0.9783 0.6070
18 O 0.2848 0.9783 0.8930
19 O 0.3052 0.6861 0.7500
20 O 0.3052 0.8139 0.2500
21 O 0.6948 0.1861 0.7500
22 O 0.6948 0.3139 0.2500
23 O 0.7152 0.0217 0.1070
24 O 0.7152 0.0217 0.3930
25 O 0.7152 0.4783 0.6070
26 O 0.7152 0.4783 0.8930
27 O 0.8983 0.7500 0.0000
28 O 0.8983 0.7500 0.5000

***

No. 3
This entry pairs a crystal structure of CaNi2O4 with its computed powder diffractogram. Radiation: Cu Kα, 1.54184 Å. Structure: a PBE+U-relaxed structure.
Lines closer than 0.1° are merged.

Top 10 peaks for 2θ = 10–80°, in order of rising 2θ:
17.60°, rel. 49
28.94°, rel. 21
34.07°, rel. 100
35.64°, rel. 18
41.38°, rel. 37
54.64°, rel. 44
59.96°, rel. 50
63.01°, rel. 7
70.79°, rel. 11
71.74°, rel. 11

Atomic structure:
a b c (Å): 6.1713 6.1713 6.1713
angles (deg): 60.00 60.00 60.00
Fractional coordinates of all 14 atoms:
1 Ca 0.1250 0.1250 0.1250
2 Ca 0.8750 0.8750 0.8750
3 Ni 0.0000 0.5000 0.5000
4 Ni 0.5000 0.0000 0.5000
5 Ni 0.5000 0.5000 0.0000
6 Ni 0.5000 0.5000 0.5000
7 O 0.2697 0.2697 0.2697
8 O 0.2697 0.2697 0.6909
9 O 0.2697 0.6909 0.2697
10 O 0.3091 0.7303 0.7303
11 O 0.6909 0.2697 0.2697
12 O 0.7303 0.3091 0.7303
13 O 0.7303 0.7303 0.3091
14 O 0.7303 0.7303 0.7303

***

What did the second record say?
This entry pairs a crystal structure of CaNi2O4 with its computed powder diffractogram. Radiation: Cu Kα, 1.54184 Å. Structure: a PBE+U-relaxed structure.
Lines closer than 0.1° are merged.

Top 10 peaks for 2θ = 10–80°, in order of rising 2θ:
18.57°, rel. 25
31.33°, rel. 31
33.49°, rel. 100
35.40°, rel. 31
39.70°, rel. 42
40.86°, rel. 48
44.17°, rel. 47
57.19°, rel. 26
62.83°, rel. 32
63.68°, rel. 27

Atomic structure:
a b c (Å): 3.1393 9.8609 9.5576
angles (deg): 90.00 90.00 90.00
Fractional coordinates of all 28 atoms:
1 Ca 0.1944 0.1492 0.2500
2 Ca 0.1944 0.3508 0.7500
3 Ca 0.8056 0.6492 0.2500
4 Ca 0.8056 0.8508 0.7500
5 Ni 0.2758 0.6085 0.5695
6 Ni 0.2758 0.6085 0.9305
7 Ni 0.2758 0.8915 0.0695
8 Ni 0.2758 0.8915 0.4305
9 Ni 0.7242 0.1085 0.5695
10 Ni 0.7242 0.1085 0.9305
11 Ni 0.7242 0.3915 0.0695
12 Ni 0.7242 0.3915 0.4305
13 O 0.1017 0.2500 0.0000
14 O 0.1017 0.2500 0.5000
15 O 0.2848 0.5217 0.1070
16 O 0.2848 0.5217 0.3930
17 O 0.2848 0.9783 0.6070
18 O 0.2848 0.9783 0.8930
19 O 0.3052 0.6861 0.7500
20 O 0.3052 0.8139 0.2500
21 O 0.6948 0.1861 0.7500
22 O 0.6948 0.3139 0.2500
23 O 0.7152 0.0217 0.1070
24 O 0.7152 0.0217 0.3930
25 O 0.7152 0.4783 0.6070
26 O 0.7152 0.4783 0.8930
27 O 0.8983 0.7500 0.0000
28 O 0.8983 0.7500 0.5000